(1)
# AcEuAgAs
Theoretical XRD peak list, CuKα. Input: a GGA-PBE-relaxed structure.
No peak broadening, texture or thermal motion is included.

Peak list (10 most intense, 15 to 90 degrees two-theta, by intensity)
| d_spacing | 2θ (°) | intensity |
| --- | --- | --- |
| 2.715 | 32.99 | 100 |
| 1.567 | 58.92 | 38 |
| 1.920 | 47.35 | 18 |
| 1.214 | 78.83 | 16 |
| 3.840 | 23.17 | 12 |
| 1.357 | 69.21 | 12 |
| 1.717 | 53.35 | 6 |
| 1.108 | 88.14 | 4 |
| 4.434 | 20.03 | 4 |
| 2.217 | 40.70 | 4 |

Cell and atoms:
```
AcEuAgAs
1.0
0.0000 3.8395 3.8395
3.8395 0.0000 3.8395
3.8395 3.8395 0.0000
Ac Eu Ag As
1 1 1 1
Direct
0.0000 0.0000 0.0000
0.5000 0.5000 0.5000
0.2500 0.2500 0.2500
0.7500 0.7500 0.7500
```

***

(2)
# Sm3Mg3Cd2
Theoretical XRD peak list, CuKα. Input: a GGA-PBE-relaxed structure.
No peak broadening, texture or thermal motion is included.

Peak list (10 most intense, 15 to 90 degrees two-theta, by intensity)
| d_spacing | 2θ (°) | intensity |
| --- | --- | --- |
| 2.677 | 33.48 | 100 |
| 2.642 | 33.92 | 98 |
| 1.532 | 60.42 | 36 |
| 1.881 | 48.40 | 35 |
| 4.324 | 20.54 | 27 |
| 1.552 | 59.56 | 18 |
| 1.526 | 60.70 | 18 |
| 3.761 | 23.66 | 16 |
| 1.185 | 81.19 | 15 |
| 1.194 | 80.43 | 15 |

Cell and atoms:
```
Sm3Mg3Cd2
1.0
2.6425 1.5256 8.8002
-2.6425 1.5256 8.8002
0.0000 -3.0513 8.8002
Sm Mg Cd
3 3 2
Direct
0.0000 0.0000 0.0000
0.2456 0.2456 0.2456
0.7523 0.7523 0.7523
0.1252 0.1252 0.1252
0.4982 0.4982 0.4982
0.6219 0.6219 0.6219
0.3762 0.3762 0.3762
0.8738 0.8738 0.8738
```

***

(3)
# Ca5GeN4F2
Theoretical XRD peak list, CuKα. Input: a GGA-PBE-relaxed structure.
No peak broadening, texture or thermal motion is included.

Peak list (10 most intense, 15 to 90 degrees two-theta, by intensity)
| d_spacing | 2θ (°) | intensity |
| --- | --- | --- |
| 2.763 | 32.40 | 100 |
| 2.847 | 31.42 | 92 |
| 2.012 | 45.07 | 72 |
| 1.596 | 57.75 | 31 |
| 2.807 | 31.88 | 31 |
| 2.884 | 31.00 | 28 |
| 4.923 | 18.02 | 21 |
| 1.641 | 56.04 | 19 |
| 1.476 | 63.00 | 17 |
| 1.658 | 55.42 | 17 |

Cell and atoms:
```
Ca5GeN4F2
1.0
6.9805 0.0000 0.0000
0.0000 4.7220 2.8843
0.0000 -4.7220 2.8843
Ca Ge N F
5 1 4 2
Direct
0.0000 0.0000 0.0000
0.2823 0.2971 0.6660
0.2823 0.6660 0.2971
0.7177 0.2971 0.6660
0.7177 0.6660 0.2971
0.5000 0.0001 0.0001
0.2769 0.2025 0.2025
0.5000 0.6384 0.9607
0.5000 0.9607 0.6384
0.7231 0.2025 0.2025
0.0000 0.5533 0.9376
0.0000 0.9376 0.5533
```

***

> Number 2 is which compound?

Sm3Mg3Cd2

***

Please write out number 1 again, unchanged.
# AcEuAgAs
Theoretical XRD peak list, CuKα. Input: a GGA-PBE-relaxed structure.
No peak broadening, texture or thermal motion is included.

Peak list (10 most intense, 15 to 90 degrees two-theta, by intensity)
| d_spacing | 2θ (°) | intensity |
| --- | --- | --- |
| 2.715 | 32.99 | 100 |
| 1.567 | 58.92 | 38 |
| 1.920 | 47.35 | 18 |
| 1.214 | 78.83 | 16 |
| 3.840 | 23.17 | 12 |
| 1.357 | 69.21 | 12 |
| 1.717 | 53.35 | 6 |
| 1.108 | 88.14 | 4 |
| 4.434 | 20.03 | 4 |
| 2.217 | 40.70 | 4 |

Cell and atoms:
```
AcEuAgAs
1.0
0.0000 3.8395 3.8395
3.8395 0.0000 3.8395
3.8395 3.8395 0.0000
Ac Eu Ag As
1 1 1 1
Direct
0.0000 0.0000 0.0000
0.5000 0.5000 0.5000
0.2500 0.2500 0.2500
0.7500 0.7500 0.7500
```

***

What did the third record say?
# Ca5GeN4F2
Theoretical XRD peak list, CuKα. Input: a GGA-PBE-relaxed structure.
No peak broadening, texture or thermal motion is included.

Peak list (10 most intense, 15 to 90 degrees two-theta, by intensity)
| d_spacing | 2θ (°) | intensity |
| --- | --- | --- |
| 2.763 | 32.40 | 100 |
| 2.847 | 31.42 | 92 |
| 2.012 | 45.07 | 72 |
| 1.596 | 57.75 | 31 |
| 2.807 | 31.88 | 31 |
| 2.884 | 31.00 | 28 |
| 4.923 | 18.02 | 21 |
| 1.641 | 56.04 | 19 |
| 1.476 | 63.00 | 17 |
| 1.658 | 55.42 | 17 |

Cell and atoms:
```
Ca5GeN4F2
1.0
6.9805 0.0000 0.0000
0.0000 4.7220 2.8843
0.0000 -4.7220 2.8843
Ca Ge N F
5 1 4 2
Direct
0.0000 0.0000 0.0000
0.2823 0.2971 0.6660
0.2823 0.6660 0.2971
0.7177 0.2971 0.6660
0.7177 0.6660 0.2971
0.5000 0.0001 0.0001
0.2769 0.2025 0.2025
0.5000 0.6384 0.9607
0.5000 0.9607 0.6384
0.7231 0.2025 0.2025
0.0000 0.5533 0.9376
0.0000 0.9376 0.5533
```